The following is a theoretical powder X-ray diffraction pattern of BaPt2O. It was derived from a structure optimized by DFT (PBE), using Cu Kα.

Structural model:
Cell lengths 5.4309, 5.4309, 12.5525 Å; angles 90.00, 90.00, 90.00 degrees
Space group I4_1/amd (No. 141, origin choice 2)
Symmetry-distinct sites (fractional):
Ba: 0.0000 0.2500 0.3750 x4
Pt: 0.0000 0.0000 0.0000 x8
O: 0.0000 0.2500 0.8750 x4

Main lines, by intensity (2θ from 10° to 80°):
two_theta, I/Imax
26.90, 1000
36.04, 926
37.72, 830
56.16, 496
17.79, 438
39.55, 365
55.45, 349
27.22, 296
62.06, 200
64.60, 178